Computed PXRD pattern of La9Er4Cd11 for a wavelength of 1.5418 Å, from DFT lattice parameters and positions (GGA-PBE).

```
24
Lattice="8.168 -12.058 0.000 8.168 12.058 0.000 0.000 0.000 3.535" Properties=species:S:1:pos:R:3 pbc="T T T"
La 0.000 0.000 0.000
La 6.423 6.206 0.000
La 6.015 1.936 0.000
La 9.914 6.206 0.000
La 6.015 -1.936 0.000
La 10.321 1.936 0.000
La 6.423 -6.206 0.000
La 10.321 -1.936 0.000
La 9.914 -6.206 0.000
Er 2.484 2.367 0.000
Er 2.484 -2.367 0.000
Er 13.852 2.367 0.000
Er 13.852 -2.367 0.000
Cd 4.271 4.359 1.767
Cd 8.168 8.809 1.767
Cd 3.567 0.000 1.767
Cd 8.168 3.845 1.767
Cd 4.271 -4.359 1.767
Cd 8.168 0.000 1.767
Cd 12.065 4.359 1.767
Cd 8.168 -3.845 1.767
Cd 12.769 0.000 1.767
Cd 8.168 -8.809 1.767
Cd 12.065 -4.359 1.767
```

Largest 10 diffraction maxima, in order of falling intensity, 5° ≤ 2θ ≤ 70°:
2θ (°)  intensity
31.24  100.0
33.77  75.2
33.53  70.2
61.67  23.4
57.34  21.1
56.89  16.1
51.72  15.1
35.55  12.3
32.18  10.5
44.36  10.3